1.
Structure and calculated powder X-ray diffraction pattern of Pu2CuPd3 (a DFT-relaxed cell (PBE, Alexandria); Cu Kα).
No peak broadening, texture or thermal motion is included.

Most intense lines, 10 to 90 degrees two-theta, by angle:
hkl 1 0 1, 19.81 deg, d = 4.481 Å, rel. 24.2
hkl 1 1 0, 32.34 deg, d = 2.768 Å, rel. 60.0
hkl 1 0 4, 34.05 deg, d = 2.633 Å, rel. 73.3
hkl 0 2 1, 38.21 deg, d = 2.355 Å, rel. 72.7
hkl 1 1 3, 38.96 deg, d = 2.312 Å, rel. 100.0
hkl 2 0 2, 40.25 deg, d = 2.241 Å, rel. 29.0
hkl 0 1 5, 40.43 deg, d = 2.231 Å, rel. 48.6
hkl 2 1 4, 58.78 deg, d = 1.571 Å, rel. 32.0
hkl 3 0 3, 62.14 deg, d = 1.494 Å, rel. 25.6
hkl 1 2 5, 63.19 deg, d = 1.471 Å, rel. 26.2
hkl 2 2 0, 67.69 deg, d = 1.384 Å, rel. 29.1
hkl 2 0 8, 71.69 deg, d = 1.317 Å, rel. 24.6

Crystal structure
```
data_Pu2CuPd3
_cell_length_a 5.5367
_cell_length_b 5.5367
_cell_length_c 12.6022
_cell_angle_alpha 90.00
_cell_angle_beta 90.00
_cell_angle_gamma 120.00
_space_group_name_H-M_alt 'R -3 m'
_space_group_IT_number 166
_space_group_name_Hall '-R 3 2"'
loop_
_atom_site_label
_atom_site_type_symbol
_atom_site_fract_x
_atom_site_fract_y
_atom_site_fract_z
Pu1 Pu 0.0000 0.0000 0.1239
Cu1 Cu 0.0000 0.0000 0.5000
Pd1 Pd 0.0000 0.5000 0.0000
```


2.
Structure and calculated powder X-ray diffraction pattern of Pu3Cu2Pd3 (a DFT-relaxed cell (PBE, Alexandria); Cu Kα).
No peak broadening, texture or thermal motion is included.

Most intense lines, 10 to 90 degrees two-theta, by angle:
hkl 1 1 1, 22.91 deg, d = 3.882 Å, rel. 24.2
hkl 0 2 3, 25.43 deg, d = 3.503 Å, rel. 27.8
hkl 1 3 0, 32.78 deg, d = 2.732 Å, rel. 19.3
hkl 1 3 1, 33.41 deg, d = 2.682 Å, rel. 38.7
hkl 1 1 4, 33.74 deg, d = 2.656 Å, rel. 100.0
hkl 0 4 0, 34.18 deg, d = 2.623 Å, rel. 18.8
hkl 0 4 1, 34.78 deg, d = 2.579 Å, rel. 18.8
hkl 1 3 3, 38.10 deg, d = 2.362 Å, rel. 69.1
hkl 0 0 6, 38.28 deg, d = 2.351 Å, rel. 23.9
hkl 2 0 0, 41.27 deg, d = 2.187 Å, rel. 43.7
hkl 1 3 4, 41.83 deg, d = 2.160 Å, rel. 19.2
hkl 2 4 1, 55.06 deg, d = 1.668 Å, rel. 18.0

Crystal structure
```
data_Pu3Cu2Pd3
_cell_length_a 4.375
_cell_length_b 10.494
_cell_length_c 14.106
_cell_angle_alpha 90.00
_cell_angle_beta 90.00
_cell_angle_gamma 90.00
_space_group_name_H-M_alt 'C m c m'
_space_group_IT_number 63
_space_group_name_Hall '-C 2c 2'
loop_
_atom_site_label
_atom_site_type_symbol
_atom_site_fract_x
_atom_site_fract_y
_atom_site_fract_z
Pu1 Pu 0.000 0.079 0.107
Pu2 Pu 0.000 0.349 0.250
Cu1 Cu 0.000 0.219 0.600
Pd1 Pd 0.000 0.366 0.750
Pd2 Pd 0.000 0.384 0.044
```


3.
Structure and calculated powder X-ray diffraction pattern of PuCuPd (a DFT-relaxed cell (PBE, Alexandria); Cu Kα).
No peak broadening, texture or thermal motion is included.

Most intense lines, 10 to 90 degrees two-theta, by angle:
hkl 0 0 2, 22.50 deg, d = 3.951 Å, rel. 19.1
hkl 0 1 1, 22.63 deg, d = 3.929 Å, rel. 30.3
hkl 1 1 -1, 36.21 deg, d = 2.481 Å, rel. 100.0
hkl 1 1 1, 36.27 deg, d = 2.477 Å, rel. 52.1
hkl 0 1 3, 39.58 deg, d = 2.277 Å, rel. 62.3
hkl 0 2 0, 39.82 deg, d = 2.264 Å, rel. 32.0
hkl 1 0 -4, 54.63 deg, d = 1.680 Å, rel. 16.9
hkl 1 2 2, 54.88 deg, d = 1.673 Å, rel. 29.0
hkl 1 1 5, 69.54 deg, d = 1.352 Å, rel. 12.1
hkl 1 2 -4, 69.70 deg, d = 1.349 Å, rel. 16.3
hkl 1 3 -1, 69.97 deg, d = 1.345 Å, rel. 15.6
hkl 2 1 3, 72.29 deg, d = 1.307 Å, rel. 21.1

Crystal structure
```
data_PuCuPd
_cell_length_a 3.193
_cell_length_b 4.528
_cell_length_c 7.902
_cell_angle_alpha 90.00
_cell_angle_beta 90.07
_cell_angle_gamma 90.00
_space_group_name_H-M_alt 'P 1 21 1'
_space_group_IT_number 4
loop_
_space_group_symop_operation_xyz
'x,y,z'
'-x,y+1/2,-z'
loop_
_atom_site_label
_atom_site_type_symbol
_atom_site_fract_x
_atom_site_fract_y
_atom_site_fract_z
Pu1 Pu 0.000 0.000 0.244
Cu1 Cu 0.500 0.002 0.570
Pd1 Pd 0.499 0.499 0.100
```


4.
Structure and calculated powder X-ray diffraction pattern of RbCu2Pd4 (a DFT-relaxed cell (PBE, Alexandria); Cu Kα).
No peak broadening, texture or thermal motion is included.

Most intense lines, 10 to 90 degrees two-theta, by angle:
hkl 0 0 2, 13.62 deg, d = 6.502 Å, rel. 28.9
hkl 1 1 0, 24.80 deg, d = 3.590 Å, rel. 29.8
hkl 0 0 4, 27.44 deg, d = 3.251 Å, rel. 35.8
hkl 1 1 2, 28.40 deg, d = 3.143 Å, rel. 63.7
hkl 2 0 0, 35.36 deg, d = 2.538 Å, rel. 100.0
hkl 1 0 5, 38.91 deg, d = 2.315 Å, rel. 46.5
hkl 2 0 4, 45.33 deg, d = 2.001 Å, rel. 35.7
hkl 1 1 6, 49.10 deg, d = 1.855 Å, rel. 28.7
hkl 2 2 0, 50.87 deg, d = 1.795 Å, rel. 34.5
hkl 2 1 5, 53.58 deg, d = 1.710 Å, rel. 35.6
hkl 2 2 4, 58.76 deg, d = 1.571 Å, rel. 16.4
hkl 3 1 6, 73.40 deg, d = 1.290 Å, rel. 16.3

Crystal structure
```
data_RbCu2Pd4
_cell_length_a 5.077
_cell_length_b 5.077
_cell_length_c 13.003
_cell_angle_alpha 90.00
_cell_angle_beta 90.00
_cell_angle_gamma 90.00
_space_group_name_H-M_alt 'I 4/m m m'
_space_group_IT_number 139
_space_group_name_Hall '-I 4 2'
loop_
_atom_site_label
_atom_site_type_symbol
_atom_site_fract_x
_atom_site_fract_y
_atom_site_fract_z
Rb1 Rb 0.000 0.000 0.000
Cu1 Cu 0.000 0.000 0.411
Pd1 Pd 0.000 0.000 0.226
Pd2 Pd 0.000 0.500 0.000
```


5.
Structure and calculated powder X-ray diffraction pattern of Cu5PdRh (a DFT-relaxed cell (PBE, Alexandria); Cu Kα).
No peak broadening, texture or thermal motion is included.

Most intense lines, 10 to 90 degrees two-theta, by angle:
hkl 1 1 0, 21.04 deg, d = 4.223 Å, rel. 10.7
hkl 1 1 1, 27.15 deg, d = 3.284 Å, rel. 46.3
hkl 0 2 2, 42.71 deg, d = 2.117 Å, rel. 100.0
hkl 2 2 0, 42.83 deg, d = 2.111 Å, rel. 99.2
hkl 1 3 1, 44.94 deg, d = 2.017 Å, rel. 11.6
hkl 2 0 2, 49.45 deg, d = 1.843 Å, rel. 64.0
hkl 0 4 0, 50.49 deg, d = 1.808 Å, rel. 30.0
hkl 2 4 2, 73.36 deg, d = 1.291 Å, rel. 36.6
hkl 2 2 4, 87.92 deg, d = 1.111 Å, rel. 22.8
hkl 4 2 2, 88.16 deg, d = 1.108 Å, rel. 22.5
hkl 0 6 2, 89.58 deg, d = 1.094 Å, rel. 12.6
hkl 2 6 0, 89.67 deg, d = 1.093 Å, rel. 10.9

Crystal structure
```
data_Cu5PdRh
_cell_length_a 5.202
_cell_length_b 7.230
_cell_length_c 5.223
_cell_angle_alpha 90.00
_cell_angle_beta 90.00
_cell_angle_gamma 90.00
_space_group_name_H-M_alt 'C m m m'
_space_group_IT_number 65
_space_group_name_Hall '-C 2 2'
loop_
_atom_site_label
_atom_site_type_symbol
_atom_site_fract_x
_atom_site_fract_y
_atom_site_fract_z
Cu1 Cu 0.000 0.000 0.000
Cu2 Cu 0.250 0.250 0.252
Pd1 Pd 0.000 0.000 0.500
Rh1 Rh 0.000 0.500 0.000
```


6.
Structure and calculated powder X-ray diffraction pattern of Cu3Pd6Rh (a DFT-relaxed cell (PBE, Alexandria); Cu Kα).
No peak broadening, texture or thermal motion is included.

Most intense lines, 10 to 90 degrees two-theta, by angle:
hkl 3 0 -2, 37.90 deg, d = 2.374 Å, rel. 20.6
hkl 1 0 -4, 38.08 deg, d = 2.363 Å, rel. 21.7
hkl 2 0 2, 38.21 deg, d = 2.355 Å, rel. 26.9
hkl 0 2 0, 40.34 deg, d = 2.236 Å, rel. 78.3
hkl 3 1 -2, 43.14 deg, d = 2.097 Å, rel. 100.0
hkl 1 1 -4, 43.30 deg, d = 2.089 Å, rel. 97.2
hkl 2 1 2, 43.43 deg, d = 2.084 Å, rel. 88.7
hkl 3 3 -2, 75.28 deg, d = 1.262 Å, rel. 18.6
hkl 1 3 -4, 75.43 deg, d = 1.260 Å, rel. 34.6
hkl 4 2 -6, 82.59 deg, d = 1.168 Å, rel. 18.2
hkl 5 2 0, 82.84 deg, d = 1.165 Å, rel. 17.9
hkl 1 2 6, 83.17 deg, d = 1.161 Å, rel. 17.9

Crystal structure
```
data_Cu3Pd6Rh
_cell_length_a 7.245
_cell_length_b 4.472
_cell_length_c 9.453
_cell_angle_alpha 90.00
_cell_angle_beta 109.56
_cell_angle_gamma 90.00
_space_group_name_H-M_alt 'P 1 21/m 1'
_space_group_IT_number 11
loop_
_space_group_symop_operation_xyz
'x,y,z'
'-x,-y,-z'
'-x,y+1/2,-z'
'x,-y+1/2,z'
loop_
_atom_site_label
_atom_site_type_symbol
_atom_site_fract_x
_atom_site_fract_y
_atom_site_fract_z
Cu1 Cu 0.101 0.250 0.231
Cu2 Cu 0.296 0.250 0.034
Cu3 Cu 0.301 0.750 0.366
Pd1 Pd 0.092 0.250 0.731
Pd2 Pd 0.102 0.750 0.069
Pd3 Pd 0.295 0.250 0.528
Pd4 Pd 0.298 0.750 0.868
Pd5 Pd 0.492 0.250 0.332
Pd6 Pd 0.500 0.250 0.835
Rh1 Rh 0.101 0.750 0.568
```


7.
Structure and calculated powder X-ray diffraction pattern of Cu8PdRh2 (a DFT-relaxed cell (PBE, Alexandria); Cu Kα).
No peak broadening, texture or thermal motion is included.

Most intense lines, 10 to 90 degrees two-theta, by angle:
hkl 1 1 -1, 36.57 deg, d = 2.457 Å, rel. 40.8
hkl 8 0 -1, 40.34 deg, d = 2.236 Å, rel. 45.5
hkl 4 0 2, 41.85 deg, d = 2.159 Å, rel. 72.3
hkl 3 1 1, 42.16 deg, d = 2.144 Å, rel. 50.8
hkl 5 1 0, 43.09 deg, d = 2.099 Å, rel. 57.2
hkl 4 0 -3, 43.53 deg, d = 2.079 Å, rel. 33.0
hkl 8 0 -2, 43.83 deg, d = 2.065 Å, rel. 30.2
hkl 1 1 -2, 44.63 deg, d = 2.030 Å, rel. 32.8
hkl 3 1 -2, 44.95 deg, d = 2.017 Å, rel. 100.0
hkl 0 0 3, 45.26 deg, d = 2.004 Å, rel. 31.2
hkl 7 1 0, 50.82 deg, d = 1.797 Å, rel. 40.5
hkl 0 2 0, 70.65 deg, d = 1.333 Å, rel. 29.3

Crystal structure
```
data_Cu8PdRh2
_cell_length_a 17.906
_cell_length_b 2.667
_cell_length_c 6.325
_cell_angle_alpha 90.00
_cell_angle_beta 108.12
_cell_angle_gamma 90.00
_space_group_name_H-M_alt 'C 1 m 1'
_space_group_IT_number 8
loop_
_space_group_symop_operation_xyz
'x,y,z'
'x,-y,z'
'x+1/2,y+1/2,z'
'x+1/2,-y+1/2,z'
loop_
_atom_site_label
_atom_site_type_symbol
_atom_site_fract_x
_atom_site_fract_y
_atom_site_fract_z
Cu1 Cu 0.000 0.000 0.000
Cu2 Cu 0.045 0.000 0.524
Cu3 Cu 0.102 0.500 0.289
Cu4 Cu 0.210 0.000 0.233
Cu5 Cu 0.267 0.500 0.998
Cu6 Cu 0.312 0.500 0.523
Cu7 Cu 0.366 0.000 0.883
Cu8 Cu 0.447 0.000 0.640
Pd1 Pd 0.406 0.500 0.261
Rh1 Rh 0.114 0.500 0.880
Rh2 Rh 0.198 0.000 0.642
```


8.
Structure and calculated powder X-ray diffraction pattern of Cu3PdRh2 (a DFT-relaxed cell (PBE, Alexandria); Cu Kα).
No peak broadening, texture or thermal motion is included.

Most intense lines, 10 to 90 degrees two-theta, by angle:
hkl 0 0 2, 20.66 deg, d = 4.300 Å, rel. 9.4
hkl 2 0 0, 39.26 deg, d = 2.295 Å, rel. 5.1
hkl 1 3 1, 41.16 deg, d = 2.193 Å, rel. 100.0
hkl 0 0 4, 42.03 deg, d = 2.150 Å, rel. 31.4
hkl 2 0 2, 48.15 deg, d = 1.890 Å, rel. 62.6
hkl 0 6 0, 69.86 deg, d = 1.346 Å, rel. 19.5
hkl 1 3 5, 71.08 deg, d = 1.326 Å, rel. 18.5
hkl 4 0 0, 84.42 deg, d = 1.147 Å, rel. 11.5
hkl 0 6 4, 84.97 deg, d = 1.141 Å, rel. 15.1
hkl 3 3 3, 85.06 deg, d = 1.140 Å, rel. 7.5
hkl 1 3 -7, 86.12 deg, d = 1.129 Å, rel. 7.3
hkl 2 6 2, 89.38 deg, d = 1.096 Å, rel. 6.8

Crystal structure
```
data_Cu3PdRh2
_cell_length_a 4.665
_cell_length_b 8.078
_cell_length_c 8.741
_cell_angle_alpha 90.00
_cell_angle_beta 100.34
_cell_angle_gamma 90.00
_space_group_name_H-M_alt 'C 1 2/m 1'
_space_group_IT_number 12
loop_
_space_group_symop_operation_xyz
'x,y,z'
'-x,-y,-z'
'-x,y,-z'
'x,-y,z'
'x+1/2,y+1/2,z'
'-x+1/2,-y+1/2,-z'
'-x+1/2,y+1/2,-z'
'x+1/2,-y+1/2,z'
loop_
_atom_site_label
_atom_site_type_symbol
_atom_site_fract_x
_atom_site_fract_y
_atom_site_fract_z
Cu1 Cu 0.247 0.000 0.249
Cu2 Cu 0.249 0.165 0.751
Pd1 Pd 0.000 0.333 0.500
Rh1 Rh 0.000 0.000 0.500
Rh2 Rh 0.000 0.167 0.000
Rh3 Rh 0.000 0.500 0.000
```


Q: What is the formula in the third record?
A: PuCuPd